Entry 1:
The following is a theoretical X-ray diffraction stick pattern of Nd4CoSeCl2. It was derived from a DFT-relaxed cell (PBE, Alexandria), using Cu Kα X-rays.

Structure:
a = 7.432 Å, b = 3.986 Å, c = 7.529 Å
α = 90.00°, β = 108.12°, γ = 90.00°
Element x y z (fractional)
1 Nd 0.207 0.000 0.209
2 Nd 0.225 0.500 0.762
3 Nd 0.775 0.500 0.238
4 Nd 0.793 0.000 0.791
5 Co 0.000 0.500 0.000
6 Se 0.000 0.000 0.500
7 Cl 0.500 0.000 0.000
8 Cl 0.500 0.500 0.500

Most intense lines, 2θ = 15–90°, sorted by position:
- 2θ = 26.77°, I = 30
- 2θ = 29.50°, I = 55
- 2θ = 30.28°, I = 100
- 2θ = 42.58°, I = 37
- 2θ = 42.99°, I = 33
- 2θ = 55.17°, I = 18

---

Entry 2:
The following is a theoretical X-ray diffraction stick pattern of CoNi2Cl. It was derived from a DFT-relaxed cell (PBE, Alexandria), using Cu Kα X-rays.

Structure:
a = 3.080 Å, b = 2.870 Å, c = 6.318 Å
α = 90.00°, β = 90.22°, γ = 90.00°
Element x y z (fractional)
1 Co 0.000 0.000 0.000
2 Ni 0.498 0.500 0.809
3 Ni 0.996 0.000 0.607
4 Cl 0.007 0.500 0.301

Most intense lines, 2θ = 15–90°, sorted by position:
- 2θ = 29.00°, I = 36
- 2θ = 42.56°, I = 100
- 2θ = 43.08°, I = 61
- 2θ = 45.53°, I = 82
- 2θ = 52.55°, I = 28
- 2θ = 52.75°, I = 27

---

Entry 3:
The following is a theoretical X-ray diffraction stick pattern of CoNiSnCl6. It was derived from a DFT-relaxed cell (PBE, Alexandria), using Cu Kα X-rays.

Structure:
a = 6.306 Å, b = 6.306 Å, c = 6.147 Å
α = 90.14°, β = 90.14°, γ = 120.28°
Element x y z (fractional)
1 Co 0.000 0.000 0.000
2 Ni 0.667 0.333 0.000
3 Sn 0.333 0.667 0.500
4 Cl 0.335 0.304 0.778
5 Cl 0.336 0.036 0.220
6 Cl 0.696 0.665 0.222
7 Cl 0.701 0.039 0.777
8 Cl 0.961 0.299 0.223
9 Cl 0.964 0.664 0.780

Most intense lines, 2θ = 15–90°, sorted by position:
- 2θ = 21.79°, I = 100
- 2θ = 31.91°, I = 27
- 2θ = 35.98°, I = 16
- 2θ = 40.97°, I = 29
- 2θ = 41.06°, I = 29
- 2θ = 50.27°, I = 17

---

Entry 4:
The following is a theoretical X-ray diffraction stick pattern of NpCo2Cl8. It was derived from a DFT-relaxed cell (PBE, Alexandria), using Cu Kα X-rays.

Structure:
a = 10.031 Å, b = 10.031 Å, c = 12.186 Å
α = 125.46°, β = 125.46°, γ = 49.22°
Element x y z (fractional)
1 Np 0.007 0.993 0.750
2 Np 0.993 0.007 0.250
3 Co 0.160 0.666 0.469
4 Co 0.334 0.840 0.031
5 Co 0.666 0.160 0.969
6 Co 0.840 0.334 0.531
7 Cl 0.129 0.182 0.520
8 Cl 0.139 0.692 0.285
9 Cl 0.164 0.706 0.823
10 Cl 0.182 0.129 0.020
11 Cl 0.294 0.836 0.677
12 Cl 0.305 0.379 0.446
13 Cl 0.308 0.861 0.215
14 Cl 0.379 0.305 0.946
15 Cl 0.621 0.695 0.054
16 Cl 0.692 0.139 0.785
17 Cl 0.695 0.621 0.554
18 Cl 0.706 0.164 0.323
19 Cl 0.818 0.871 0.980
20 Cl 0.836 0.294 0.177
21 Cl 0.861 0.308 0.715
22 Cl 0.871 0.818 0.480

Most intense lines, 2θ = 15–90°, sorted by position:
- 2θ = 18.92°, I = 94
- 2θ = 19.30°, I = 74
- 2θ = 25.86°, I = 100
- 2θ = 28.86°, I = 56
- 2θ = 29.13°, I = 96
- 2θ = 44.36°, I = 81